Entry 1:
Tl2HgPd7S2: simulated XRD peak list (Cu Kα (weighted mean of Kα1 and Kα2)), based on a structure optimized by DFT (GGA-PBE).
No peak broadening, texture or thermal motion is included.

Crystal structure
```
data_Tl2HgPd7S2
_chemical_formula_sum 'Tl2 Hg1 Pd7 S2'
_symmetry_space_group_name_H-M 'P 1'
_symmetry_Int_Tables_number 1
_symmetry_space_group_name_Hall 'P 1'
_cell_length_a 4.0230
_cell_length_b 4.0230
_cell_length_c 14.2124
_cell_angle_alpha 94.70
_cell_angle_beta 94.70
_cell_angle_gamma 89.78
loop_
_atom_site_label
_atom_site_type_symbol
_atom_site_fract_x
_atom_site_fract_y
_atom_site_fract_z
_atom_site_occupancy
Tl1 Tl 0.0965 0.0965 0.3998 1
Tl2 Tl 0.9035 0.9035 0.6002 1
Hg1 Hg 0.0000 0.0000 0.0000 1
Pd1 Pd 0.0434 0.5437 0.1503 1
Pd2 Pd 0.4134 0.4134 0.5912 1
Pd3 Pd 0.4563 0.9566 0.8497 1
Pd4 Pd 0.5000 0.5000 0.0000 1
Pd5 Pd 0.5437 0.0434 0.1503 1
Pd6 Pd 0.5866 0.5866 0.4088 1
Pd7 Pd 0.9566 0.4563 0.8497 1
S1 S 0.4322 0.4322 0.7602 1
S2 S 0.5678 0.5678 0.2398 1
```

Principal peaks in the range 15° ≤ 2θ ≤ 90°, most intense first:
| 2θ/deg | I_rel |
| --- | --- |
| 45.20 | 100 |
| 35.50 | 84 |
| 35.05 | 78 |
| 36.98 | 78 |
| 31.69 | 69 |
| 45.30 | 51 |
| 34.04 | 45 |
| 32.16 | 30 |
| 31.52 | 29 |
| 75.16 | 28 |
| 25.23 | 27 |
| 44.95 | 27 |

Entry 2:
HgSbPd2: simulated XRD peak list (Cu Kα (weighted mean of Kα1 and Kα2)), based on a structure optimized by DFT (GGA-PBE).
No peak broadening, texture or thermal motion is included.

Crystal structure
```
data_HgSbPd2
_chemical_formula_sum 'Hg4 Sb4 Pd8'
_symmetry_space_group_name_H-M 'P 1'
_symmetry_Int_Tables_number 1
_symmetry_space_group_name_Hall 'P 1'
_cell_length_a 8.2391
_cell_length_b 7.1004
_cell_length_c 5.7537
_cell_angle_alpha 90.00
_cell_angle_beta 90.00
_cell_angle_gamma 90.00
loop_
_atom_site_label
_atom_site_type_symbol
_atom_site_fract_x
_atom_site_fract_y
_atom_site_fract_z
_atom_site_occupancy
Hg1 Hg 0.1105 0.0960 0.2500 1
Hg2 Hg 0.1105 0.4040 0.7500 1
Hg3 Hg 0.8895 0.5960 0.2500 1
Hg4 Hg 0.8895 0.9040 0.7500 1
Sb1 Sb 0.3780 0.5744 0.2500 1
Sb2 Sb 0.3780 0.9256 0.7500 1
Sb3 Sb 0.6220 0.0744 0.2500 1
Sb4 Sb 0.6220 0.4256 0.7500 1
Pd1 Pd 0.1530 0.7500 0.0000 1
Pd2 Pd 0.1530 0.7500 0.5000 1
Pd3 Pd 0.3852 0.2500 0.0000 1
Pd4 Pd 0.3852 0.2500 0.5000 1
Pd5 Pd 0.6148 0.7500 0.0000 1
Pd6 Pd 0.6148 0.7500 0.5000 1
Pd7 Pd 0.8470 0.2500 0.0000 1
Pd8 Pd 0.8470 0.2500 0.5000 1
```

Principal peaks in the range 15° ≤ 2θ ≤ 90°, most intense first:
| 2θ/deg | I_rel |
| --- | --- |
| 29.51 | 100 |
| 40.31 | 78 |
| 44.13 | 40 |
| 43.96 | 18 |
| 54.34 | 18 |
| 81.76 | 13 |
| 53.87 | 12 |
| 61.19 | 12 |
| 61.37 | 9 |
| 78.52 | 7 |
| 64.82 | 7 |
| 81.65 | 7 |

Entry 3:
Sc6Hg5Pd: simulated XRD peak list (Cu Kα (weighted mean of Kα1 and Kα2)), based on a structure optimized by DFT (GGA-PBE).
No peak broadening, texture or thermal motion is included.

Crystal structure
```
data_Sc6Hg5Pd
_chemical_formula_sum 'Sc6 Hg5 Pd1'
_symmetry_space_group_name_H-M 'P 1'
_symmetry_Int_Tables_number 1
_symmetry_space_group_name_Hall 'P 1'
_cell_length_a 7.7712
_cell_length_b 7.7712
_cell_length_c 7.0038
_cell_angle_alpha 90.00
_cell_angle_beta 90.00
_cell_angle_gamma 143.09
loop_
_atom_site_label
_atom_site_type_symbol
_atom_site_fract_x
_atom_site_fract_y
_atom_site_fract_z
_atom_site_occupancy
Sc1 Sc 0.0000 0.0000 0.2392 1
Sc2 Sc 0.0000 0.0000 0.7608 1
Sc3 Sc 0.3384 0.6616 0.2443 1
Sc4 Sc 0.3384 0.6616 0.7557 1
Sc5 Sc 0.6616 0.3384 0.2443 1
Sc6 Sc 0.6616 0.3384 0.7557 1
Hg1 Hg 0.1690 0.8310 0.0000 1
Hg2 Hg 0.1691 0.8309 0.5000 1
Hg3 Hg 0.5000 0.5000 0.5000 1
Hg4 Hg 0.8310 0.1690 0.0000 1
Hg5 Hg 0.8309 0.1691 0.5000 1
Pd1 Pd 0.5000 0.5000 0.0000 1
```

Principal peaks in the range 15° ≤ 2θ ≤ 90°, most intense first:
| 2θ/deg | I_rel |
| --- | --- |
| 36.41 | 100 |
| 36.55 | 49 |
| 25.62 | 45 |
| 65.70 | 35 |
| 25.44 | 23 |
| 45.05 | 21 |
| 65.44 | 18 |
| 52.64 | 17 |
| 59.37 | 15 |
| 88.96 | 12 |
| 77.35 | 11 |
| 59.07 | 10 |

Entry 4:
Sc2HgPd6: simulated XRD peak list (Cu Kα (weighted mean of Kα1 and Kα2)), based on a structure optimized by DFT (GGA-PBE).
No peak broadening, texture or thermal motion is included.

Crystal structure
```
data_Sc2HgPd6
_chemical_formula_sum 'Sc2 Hg1 Pd6'
_symmetry_space_group_name_H-M 'P 1'
_symmetry_Int_Tables_number 1
_symmetry_space_group_name_Hall 'P 1'
_cell_length_a 6.3258
_cell_length_b 6.3258
_cell_length_c 4.6677
_cell_angle_alpha 111.60
_cell_angle_beta 111.60
_cell_angle_gamma 74.66
loop_
_atom_site_label
_atom_site_type_symbol
_atom_site_fract_x
_atom_site_fract_y
_atom_site_fract_z
_atom_site_occupancy
Sc1 Sc 0.1769 0.1769 0.1753 1
Sc2 Sc 0.8231 0.8231 0.8247 1
Hg1 Hg 0.5000 0.5000 0.5000 1
Pd1 Pd 0.0244 0.6467 0.3362 1
Pd2 Pd 0.2883 0.7117 0.0000 1
Pd3 Pd 0.3533 0.9756 0.6638 1
Pd4 Pd 0.6467 0.0244 0.3362 1
Pd5 Pd 0.7117 0.2883 0.0000 1
Pd6 Pd 0.9756 0.3533 0.6638 1
```

Principal peaks in the range 15° ≤ 2θ ≤ 90°, most intense first:
| 2θ/deg | I_rel |
| --- | --- |
| 43.10 | 100 |
| 40.21 | 67 |
| 38.58 | 48 |
| 32.30 | 45 |
| 51.17 | 24 |
| 72.92 | 20 |
| 81.82 | 19 |
| 35.82 | 18 |
| 15.24 | 16 |
| 68.86 | 16 |
| 31.82 | 14 |
| 21.49 | 13 |

Entry 5:
ScHg3Pd6: simulated XRD peak list (Cu Kα (weighted mean of Kα1 and Kα2)), based on a structure optimized by DFT (GGA-PBE).
No peak broadening, texture or thermal motion is included.

Crystal structure
```
data_ScHg3Pd6
_chemical_formula_sum 'Sc2 Hg6 Pd12'
_symmetry_space_group_name_H-M 'P 1'
_symmetry_Int_Tables_number 1
_symmetry_space_group_name_Hall 'P 1'
_cell_length_a 8.8452
_cell_length_b 4.1793
_cell_length_c 10.8737
_cell_angle_alpha 90.00
_cell_angle_beta 113.96
_cell_angle_gamma 90.00
loop_
_atom_site_label
_atom_site_type_symbol
_atom_site_fract_x
_atom_site_fract_y
_atom_site_fract_z
_atom_site_occupancy
Sc1 Sc 0.2350 0.2500 0.1613 1
Sc2 Sc 0.7650 0.7500 0.8387 1
Hg1 Hg 0.0033 0.2500 0.2929 1
Hg2 Hg 0.2868 0.2500 0.8334 1
Hg3 Hg 0.3052 0.7500 0.5764 1
Hg4 Hg 0.6948 0.2500 0.4236 1
Hg5 Hg 0.7132 0.7500 0.1666 1
Hg6 Hg 0.9967 0.7500 0.7071 1
Pd1 Pd 0.0006 0.2500 0.8968 1
Pd2 Pd 0.0923 0.2500 0.5697 1
Pd3 Pd 0.2434 0.7500 0.0024 1
Pd4 Pd 0.3740 0.2500 0.4312 1
Pd5 Pd 0.4535 0.7500 0.2789 1
Pd6 Pd 0.4936 0.2500 0.1035 1
Pd7 Pd 0.5064 0.7500 0.8965 1
Pd8 Pd 0.5465 0.2500 0.7211 1
Pd9 Pd 0.6260 0.7500 0.5688 1
Pd10 Pd 0.7566 0.2500 0.9976 1
Pd11 Pd 0.9077 0.7500 0.4303 1
Pd12 Pd 0.9994 0.7500 0.1032 1
```

Principal peaks in the range 15° ≤ 2θ ≤ 90°, most intense first:
| 2θ/deg | I_rel |
| --- | --- |
| 37.61 | 100 |
| 39.71 | 84 |
| 43.30 | 41 |
| 41.71 | 28 |
| 27.90 | 21 |
| 32.70 | 21 |
| 61.69 | 18 |
| 49.57 | 17 |
| 34.61 | 14 |
| 33.14 | 13 |
| 77.01 | 13 |
| 75.66 | 13 |

Entry 6:
Sc5HgPd6: simulated XRD peak list (Cu Kα (weighted mean of Kα1 and Kα2)), based on a structure optimized by DFT (GGA-PBE).
No peak broadening, texture or thermal motion is included.

Crystal structure
```
data_Sc5HgPd6
_chemical_formula_sum 'Sc5 Hg1 Pd6'
_symmetry_space_group_name_H-M 'P 1'
_symmetry_Int_Tables_number 1
_symmetry_space_group_name_Hall 'P 1'
_cell_length_a 8.0515
_cell_length_b 8.0515
_cell_length_c 8.0515
_cell_angle_alpha 146.33
_cell_angle_beta 130.82
_cell_angle_gamma 60.92
loop_
_atom_site_label
_atom_site_type_symbol
_atom_site_fract_x
_atom_site_fract_y
_atom_site_fract_z
_atom_site_occupancy
Sc1 Sc 0.0000 0.0000 0.0000 1
Sc2 Sc 0.1712 0.6712 0.5000 1
Sc3 Sc 0.3454 0.3454 0.0000 1
Sc4 Sc 0.6546 0.6546 0.0000 1
Sc5 Sc 0.8288 0.3288 0.5000 1
Hg1 Hg 0.5000 0.0000 0.5000 1
Pd1 Pd 0.0615 0.8257 0.2358 1
Pd2 Pd 0.2223 0.5000 0.7223 1
Pd3 Pd 0.4101 0.1743 0.2358 1
Pd4 Pd 0.5899 0.8257 0.7642 1
Pd5 Pd 0.7777 0.5000 0.2777 1
Pd6 Pd 0.9385 0.1743 0.7642 1
```

Principal peaks in the range 15° ≤ 2θ ≤ 90°, most intense first:
| 2θ/deg | I_rel |
| --- | --- |
| 38.38 | 100 |
| 38.61 | 26 |
| 38.93 | 24 |
| 69.72 | 16 |
| 56.00 | 16 |
| 70.14 | 14 |
| 26.60 | 12 |
| 82.20 | 9 |
| 54.80 | 8 |
| 69.25 | 8 |
| 69.04 | 8 |
| 34.90 | 7 |

What did the fourth record say?
Sc2HgPd6: simulated XRD peak list (Cu Kα (weighted mean of Kα1 and Kα2)), based on a structure optimized by DFT (GGA-PBE).
No peak broadening, texture or thermal motion is included.

Crystal structure
```
data_Sc2HgPd6
_chemical_formula_sum 'Sc2 Hg1 Pd6'
_symmetry_space_group_name_H-M 'P 1'
_symmetry_Int_Tables_number 1
_symmetry_space_group_name_Hall 'P 1'
_cell_length_a 6.3258
_cell_length_b 6.3258
_cell_length_c 4.6677
_cell_angle_alpha 111.60
_cell_angle_beta 111.60
_cell_angle_gamma 74.66
loop_
_atom_site_label
_atom_site_type_symbol
_atom_site_fract_x
_atom_site_fract_y
_atom_site_fract_z
_atom_site_occupancy
Sc1 Sc 0.1769 0.1769 0.1753 1
Sc2 Sc 0.8231 0.8231 0.8247 1
Hg1 Hg 0.5000 0.5000 0.5000 1
Pd1 Pd 0.0244 0.6467 0.3362 1
Pd2 Pd 0.2883 0.7117 0.0000 1
Pd3 Pd 0.3533 0.9756 0.6638 1
Pd4 Pd 0.6467 0.0244 0.3362 1
Pd5 Pd 0.7117 0.2883 0.0000 1
Pd6 Pd 0.9756 0.3533 0.6638 1
```

Principal peaks in the range 15° ≤ 2θ ≤ 90°, most intense first:
| 2θ/deg | I_rel |
| --- | --- |
| 43.10 | 100 |
| 40.21 | 67 |
| 38.58 | 48 |
| 32.30 | 45 |
| 51.17 | 24 |
| 72.92 | 20 |
| 81.82 | 19 |
| 35.82 | 18 |
| 15.24 | 16 |
| 68.86 | 16 |
| 31.82 | 14 |
| 21.49 | 13 |